1.
Diffraction record for CsPb. The powder diffraction line list is theoretical, not measured: it uses DFT lattice parameters and positions (GGA-PBE) and Cu Kα X-rays.
Intensities are scaled so that the largest is 100.

Structural model:
```
CsPb
1.0
6.2553 0.0000 0.0000
0.0000 13.0614 0.0000
0.0000 0.0000 8.2511
Cs Pb
6 6
Cartesian
1.5638 0.7808 1.1453
1.5638 5.7499 1.1453
1.5638 9.7960 4.4489
4.6915 3.2653 3.8021
4.6915 7.3115 7.1058
4.6915 12.2806 7.1058
1.5638 0.4510 5.0792
1.5638 3.2653 6.0766
1.5638 6.0797 5.0792
4.6915 6.9817 3.1719
4.6915 9.7960 2.1745
4.6915 12.6104 3.1719
```

Most intense lines, 10° ≤ 2θ ≤ 90°, sorted by position:
2θ 10.7, I 48; 2θ 15.7, I 36; 2θ 17.8, I 38; 2θ 24.9, I 32; 2θ 25.9, I 100; 2θ 26.8, I 33; 2θ 28.5, I 68; 2θ 29.3, I 67; 2θ 29.8, I 31; 2θ 32.8, I 30; 2θ 37.3, I 32; 2θ 51.1, I 40

***

2.
Diffraction record for Cs3Pb5. The powder diffraction line list is theoretical, not measured: it uses DFT lattice parameters and positions (GGA-PBE) and Cu Kα X-rays.
Intensities are scaled so that the largest is 100.

Structural model:
```
Cs3Pb5
1.0
4.0798 -9.5896 0.0000
4.0798 9.5896 0.0000
-1.1412 0.0000 9.4998
Cs Pb
6 10
Cartesian
0.2073 0.0000 6.4664
4.0798 6.3387 0.0000
3.5092 5.2929 4.7499
3.5092 -5.2929 4.7499
4.0798 -6.3387 0.0000
6.8111 0.0000 3.0333
2.3753 1.6577 3.6363
2.4562 2.5564 7.9716
2.6278 0.0000 0.6922
2.3753 -1.6577 3.6363
4.5622 2.5564 1.5282
2.4562 -2.5564 7.9716
4.6431 1.6577 5.8635
4.3907 0.0000 8.8076
4.5622 -2.5564 1.5282
4.6431 -1.6577 5.8635
```

Most intense lines, 10° ≤ 2θ ≤ 90°, sorted by position:
2θ 11.9, I 100; 2θ 23.8, I 25; 2θ 25.7, I 44; 2θ 26.8, I 86; 2θ 27.2, I 34; 2θ 29.4, I 93; 2θ 29.5, I 61; 2θ 31.2, I 32; 2θ 32.7, I 30; 2θ 33.8, I 24; 2θ 36.1, I 25; 2θ 49.1, I 31

***

3.
Diffraction record for CsPd2Pb. The powder diffraction line list is theoretical, not measured: it uses DFT lattice parameters and positions (GGA-PBE) and Cu Kα X-rays.
Intensities are scaled so that the largest is 100.

Structural model:
```
CsPd2Pb
1.0
4.6865 0.0000 0.0000
0.0000 7.5976 0.0000
0.0000 0.0000 7.0971
Cs Pd Pb
2 4 2
Cartesian
1.1716 1.8994 0.8879
3.5148 5.6982 6.2091
1.1716 0.4700 4.1620
1.1716 3.3288 4.1620
3.5148 4.2688 2.9351
3.5148 7.1276 2.9351
1.1716 5.6982 2.5939
3.5148 1.8994 4.5032
```

Most intense lines, 10° ≤ 2θ ≤ 90°, sorted by position:
2θ 12.5, I 100; 2θ 25.6, I 35; 2θ 27.7, I 98; 2θ 32.9, I 81; 2θ 38.4, I 38; 2θ 39.7, I 21; 2θ 40.5, I 28; 2θ 42.5, I 60; 2θ 44.5, I 22; 2θ 48.0, I 44; 2θ 49.4, I 32; 2θ 66.0, I 22

***

4.
Diffraction record for Cs4PdPb5. The powder diffraction line list is theoretical, not measured: it uses DFT lattice parameters and positions (GGA-PBE) and Cu Kα X-rays.
Intensities are scaled so that the largest is 100.

Structural model:
```
Cs4PdPb5
1.0
-5.7037 5.7037 3.4660
5.7037 -5.7037 3.4660
5.7037 5.7037 -3.4660
Cs Pd Pb
4 1 5
Cartesian
3.4187 0.0000 0.0000
7.9888 0.0000 0.0000
0.0000 3.4187 0.0000
0.0000 7.9888 0.0000
0.0000 0.0000 1.5376
4.0872 4.0872 -0.1414
1.6166 -1.6166 3.3247
-1.6166 1.6166 3.3247
1.6166 1.6166 3.3247
0.0000 0.0000 5.5572
```

Most intense lines, 10° ≤ 2θ ≤ 90°, sorted by position:
2θ 11.0, I 50; 2θ 15.0, I 13; 2θ 25.7, I 20; 2θ 26.7, I 100; 2θ 33.3, I 33; 2θ 34.1, I 14; 2θ 34.9, I 20; 2θ 35.9, I 19; 2θ 42.6, I 12; 2θ 46.0, I 13; 2θ 48.4, I 13; 2θ 67.6, I 14

***

5.
Diffraction record for CsPmPbSe3. The powder diffraction line list is theoretical, not measured: it uses DFT lattice parameters and positions (GGA-PBE) and Cu Kα X-rays.
Intensities are scaled so that the largest is 100.

Structural model:
```
CsPmPbSe3
1.0
9.2914 0.0000 0.0000
0.0000 4.3385 0.0000
-3.8280 0.0000 11.5283
Cs Pm Pb Se
2 2 2 6
Cartesian
1.0875 1.0846 2.8913
4.3759 3.2539 8.6369
0.0835 3.2539 9.8653
5.3798 1.0846 1.6629
-0.7844 1.0846 6.6324
6.2478 3.2539 4.8958
-1.8900 1.0846 9.1855
1.0147 3.2539 6.9886
3.4380 3.2539 1.2003
2.0254 1.0846 10.3279
4.4487 1.0846 4.5396
7.3534 3.2539 2.3428
```

Most intense lines, 10° ≤ 2θ ≤ 90°, sorted by position:
2θ 10.5, I 92; 2θ 22.1, I 21; 2θ 25.1, I 42; 2θ 28.1, I 19; 2θ 28.9, I 100; 2θ 29.4, I 33; 2θ 32.9, I 23; 2θ 35.7, I 17; 2θ 41.5, I 33; 2θ 41.6, I 26; 2θ 41.9, I 15; 2θ 51.8, I 15

***

6.
Diffraction record for Cs3Pu2Te6Pb. The powder diffraction line list is theoretical, not measured: it uses DFT lattice parameters and positions (GGA-PBE) and Cu Kα X-rays.
Intensities are scaled so that the largest is 100.

Structural model:
```
Cs3Pu2Te6Pb
1.0
4.0580 -7.0198 0.0000
4.0580 7.0198 0.0000
-2.6946 0.0000 8.8211
Cs Pu Te Pb
3 2 6 1
Cartesian
0.0000 0.0000 0.0000
4.0580 2.2432 0.0000
4.0580 -2.2432 0.0000
2.7107 4.6703 4.4106
2.7107 -4.6703 4.4106
1.2824 2.4636 2.7272
-0.1360 0.0000 6.0656
1.2824 -2.4636 2.7272
4.1389 2.4636 6.0939
5.5573 0.0000 2.7555
4.1389 -2.4636 6.0939
2.7107 0.0000 4.4106
```

Most intense lines, 10° ≤ 2θ ≤ 90°, sorted by position:
2θ 10.0, I 28; 2θ 25.8, I 100; 2θ 32.4, I 14; 2θ 35.0, I 11; 2θ 35.0, I 22; 2θ 38.4, I 38; 2θ 43.8, I 14; 2θ 46.9, I 13; 2θ 53.0, I 10; 2θ 57.4, I 9; 2θ 62.2, I 11; 2θ 76.5, I 8